This entry pairs a crystal structure of ZrAsW with its simulated powder diffraction line list. Radiation: Cu Kα. Structure: the PBE geometry in Alexandria.
No peak broadening, texture or thermal motion is included.

Structural model:
```
3
Lattice="4.638 0.000 0.000 -2.319 4.016 0.000 0.000 0.000 2.896" Properties=species:S:1:pos:R:3 pbc="T T T"
Zr 0.000 0.000 0.000
As 2.319 1.339 1.448
W 0.000 2.678 1.448
```

The 10 most intense peaks (15° ≤ 2θ ≤ 90°), sorted by position:
2theta	I/Imax
22.13	31
30.87	14
38.32	97
38.84	100
50.41	21
55.70	33
69.97	33
70.32	17
77.75	26
83.35	11